# ReCl4O
Calculated X-ray powder pattern, Cu Kα (weighted mean of Kα1 and Kα2). Input: a DFT-relaxed cell (PBE, the Materials Project).
Kinematic intensities with the Lorentz-polarization factor, no thermal factor.

Peak list (10 most intense, 2θ from 10° to 90°, most intense first)
2θ = 14.76°, intensity 100, (1 0 2)
2θ = 15.92°, intensity 88, (1 1 -1)
2θ = 18.86°, intensity 79, (2 0 -4)
2θ = 19.77°, intensity 67, (1 1 -3)
2θ = 19.64°, intensity 65, (3 0 -2)
2θ = 19.54°, intensity 45, (2 1 -1)
2θ = 22.65°, intensity 32, (2 1 1)
2θ = 20.86°, intensity 28, (0 1 3)
2θ = 14.57°, intensity 22, (2 0 0)
2θ = 17.85°, intensity 21, (1 1 1)

Cell and atoms:
Lattice parameters (Å, degrees): 13.5617 6.1527 19.7499 90.00 116.30 90.00
Space group P2_1/c (No. 14)
Inequivalent atoms, fractional coordinates:
Re  0.0978  0.0090  0.1681
Re  0.4021  0.1103  0.5804
Cl  0.0343  0.2296  0.5763
Cl  0.0769  0.1274  0.8882
Cl  0.1067  0.6320  0.7780
Cl  0.2147  0.2291  0.7429
Cl  0.2887  0.6545  0.0049
Cl  0.4013  0.2467  0.4721
Cl  0.4245  0.7489  0.3590
Cl  0.4607  0.6458  0.1738
O  0.1748  0.6593  0.6436
O  0.3207  0.2200  0.1003



# CdBiClO2
Calculated X-ray powder pattern, Cu Kα (weighted mean of Kα1 and Kα2). Input: a DFT-relaxed cell (PBE, the Materials Project).
Kinematic intensities with the Lorentz-polarization factor, no thermal factor.

Peak list (10 most intense, 2θ from 10° to 90°, most intense first)
2θ = 25.39°, intensity 100, (1 1 0)
2θ = 31.64°, intensity 68, (0 1 2)
2θ = 29.26°, intensity 57, (1 0 2)
2θ = 14.22°, intensity 53, (1 0 0)
2θ = 35.76°, intensity 37, (2 1 0)
2θ = 34.58°, intensity 36, (2 0 -2)
2θ = 25.71°, intensity 27, (1 0 -2)
2θ = 42.58°, intensity 26, (0 2 0)
2θ = 52.51°, intensity 25, (1 2 2)
2θ = 51.80°, intensity 22, (3 1 -2)

Cell and atoms:
Lattice parameters (Å, degrees): 6.2913 4.2465 7.6607 90.00 98.16 90.00
Space group P2_1/m (No. 11)
Inequivalent atoms, fractional coordinates:
Cd  0.1531  0.2500  0.3962
Bi  0.1858  0.2500  0.8981
Cl  0.4776  0.7500  0.7026
O  0.0100  0.7500  0.3557
O  0.0461  0.7500  0.9063



# NaLiTe
Calculated X-ray powder pattern, Cu Kα (weighted mean of Kα1 and Kα2). Input: a DFT-relaxed cell (PBE, the Materials Project).
Kinematic intensities with the Lorentz-polarization factor, no thermal factor.

Peak list (10 most intense, 2θ from 10° to 90°, most intense first)
2θ = 24.88°, intensity 100, (1 1 1)
2θ = 24.18°, intensity 83, (1 0 2)
2θ = 32.05°, intensity 57, (2 1 1)
2θ = 23.00°, intensity 32, (2 0 0)
2θ = 37.69°, intensity 30, (0 1 3)
2θ = 46.51°, intensity 28, (1 2 2)
2θ = 22.02°, intensity 26, (0 1 1)
2θ = 44.62°, intensity 23, (2 1 3)
2θ = 41.56°, intensity 21, (3 1 1)
2θ = 39.10°, intensity 21, (0 2 0)

Cell and atoms:
Lattice parameters (Å, degrees): 7.7351 4.6074 8.3693 90.00 90.00 90.00
Space group Pnma (No. 62)
Inequivalent atoms, fractional coordinates:
Na  0.0154  0.2500  0.1847
Li  0.1423  0.2500  0.5711
Te  0.2249  0.7500  0.3917



# KMg6Si
Calculated X-ray powder pattern, Cu Kα (weighted mean of Kα1 and Kα2). Input: a DFT-relaxed cell (PBE, the Materials Project).
Kinematic intensities with the Lorentz-polarization factor, no thermal factor.

Peak list (10 most intense, 2θ from 10° to 90°, most intense first)
2θ = 36.75°, intensity 100, (1 2 2)
2θ = 31.77°, intensity 69, (1 0 4)
2θ = 31.07°, intensity 47, (0 2 2)
2θ = 30.50°, intensity 42, (1 1 3)
2θ = 38.84°, intensity 39, (2 0 0)
2θ = 34.68°, intensity 23, (0 1 5)
2θ = 50.55°, intensity 22, (2 2 2)
2θ = 68.96°, intensity 14, (3 2 2)
2θ = 68.24°, intensity 13, (1 4 4)
2θ = 53.04°, intensity 12, (2 1 5)

Cell and atoms:
Lattice parameters (Å, degrees): 4.6374 6.2985 14.1831 90.00 90.00 90.00
Space group Amm2 (No. 38)
Inequivalent atoms, fractional coordinates:
K  0.0000  0.0000  0.0000
Mg  0.0000  0.0000  0.5727
Mg  0.0000  0.2470  0.2895
Mg  0.5000  0.0000  0.4050
Mg  0.5000  0.2477  0.1583
Si  0.5000  0.0000  0.8248



# Bi4Ir
Calculated X-ray powder pattern, Cu Kα (weighted mean of Kα1 and Kα2). Input: a DFT-relaxed cell (PBE, the Materials Project).
Kinematic intensities with the Lorentz-polarization factor, no thermal factor.

Peak list (10 most intense, 2θ from 10° to 90°, most intense first)
2θ = 11.50°, intensity 100, (3 0 0)
2θ = 33.35°, intensity 75, (0 8 1)
2θ = 29.69°, intensity 67, (7 0 1)
2θ = 12.63°, intensity 67, (1 0 1)
2θ = 39.15°, intensity 61, (4 5 2)
2θ = 40.94°, intensity 40, (4 1 3)
2θ = 31.83°, intensity 38, (4 2 2)
2θ = 30.74°, intensity 37, (6 3 0)
2θ = 36.64°, intensity 36, (0 7 2)
2θ = 33.94°, intensity 33, (3 4 2)

Cell and atoms:
Lattice parameters (Å, degrees): 26.6572 26.6572 7.3549 90.00 90.00 120.00
Space group R-3m (No. 166, hexagonal axes)
Inequivalent atoms, fractional coordinates:
Bi  0.0490  0.4620  0.2806
Bi  0.0599  0.1197  0.3212
Bi  0.0602  0.2383  0.1888
Bi  0.0868  0.1737  0.7453
Ir  0.0000  0.1692  0.5000
Ir  0.0000  0.5000  0.0000



# Ho3Co2Si7
Calculated X-ray powder pattern, Cu Kα (weighted mean of Kα1 and Kα2). Input: a DFT-relaxed cell (PBE, the Materials Project).
Kinematic intensities with the Lorentz-polarization factor, no thermal factor.

Peak list (10 most intense, 2θ from 10° to 90°, most intense first)
2θ = 36.65°, intensity 100, (1 1 5)
2θ = 36.84°, intensity 49, (1 0 8)
2θ = 31.82°, intensity 43, (1 1 1)
2θ = 23.22°, intensity 39, (1 0 2)
2θ = 24.90°, intensity 38, (0 1 3)
2θ = 21.76°, intensity 27, (0 0 6)
2θ = 44.96°, intensity 26, (2 0 0)
2θ = 45.63°, intensity 25, (0 2 0)
2θ = 60.03°, intensity 23, (1 2 8)
2θ = 65.99°, intensity 22, (2 2 0)

Cell and atoms:
Lattice parameters (Å, degrees): 4.0327 3.9761 24.5111 90.00 90.00 90.00
Space group Amm2 (No. 38)
Inequivalent atoms, fractional coordinates:
Ho  0.0000  0.0000  0.0000
Ho  0.0000  0.0000  0.3683
Ho  0.5000  0.0000  0.6833
Co  0.5000  0.0000  0.5551
Co  0.5000  0.0000  0.8136
Si  0.0000  0.0000  0.1975
Si  0.0000  0.0000  0.5955
Si  0.0000  0.0000  0.7731
Si  0.5000  0.0000  0.0956
Si  0.5000  0.0000  0.2734
Si  0.5000  0.0000  0.4633
Si  0.5000  0.0000  0.9057



# LiMg5
Calculated X-ray powder pattern, Cu Kα (weighted mean of Kα1 and Kα2). Input: a DFT-relaxed cell (PBE, the Materials Project).
Kinematic intensities with the Lorentz-polarization factor, no thermal factor.

Peak list (10 most intense, 2θ from 10° to 90°, most intense first)
2θ = 37.11°, intensity 100, (1 1 3)
2θ = 35.02°, intensity 26, (2 0 0)
2θ = 64.19°, intensity 19, (3 1 3)
2θ = 32.61°, intensity 17, (0 1 3)
2θ = 48.57°, intensity 16, (2 1 3)
2θ = 69.62°, intensity 13, (2 1 9)
2θ = 58.04°, intensity 11, (0 1 9)
2θ = 10.70°, intensity 10, (0 0 2)
2θ = 71.07°, intensity 9, (1 2 6)
2θ = 32.49°, intensity 9, (0 0 6)

Cell and atoms:
Lattice parameters (Å, degrees): 5.1247 3.1677 16.5323 90.00 90.00 90.00
Space group Amm2 (No. 38)
Inequivalent atoms, fractional coordinates:
Li  0.0000  0.0000  0.0000
Mg  0.0000  0.0000  0.3344
Mg  0.0000  0.0000  0.6655
Mg  0.5000  0.0000  0.1100
Mg  0.5000  0.0000  0.4452
Mg  0.5000  0.0000  0.7777



# Na2ZnS2O12
Calculated X-ray powder pattern, Cu Kα (weighted mean of Kα1 and Kα2). Input: a DFT-relaxed cell (PBE, the Materials Project).
Kinematic intensities with the Lorentz-polarization factor, no thermal factor.

Peak list (10 most intense, 2θ from 10° to 90°, most intense first)
2θ = 25.15°, intensity 100, (1 1 2)
2θ = 19.52°, intensity 89, (1 1 0)
2θ = 27.40°, intensity 56, (1 2 0)
2θ = 18.62°, intensity 55, (0 1 2)
2θ = 20.68°, intensity 47, (1 1 -1)
2θ = 26.75°, intensity 45, (0 2 2)
2θ = 16.11°, intensity 44, (1 0 0)
2θ = 21.60°, intensity 42, (1 0 -2)
2θ = 24.28°, intensity 37, (1 1 -2)
2θ = 34.98°, intensity 34, (2 1 -1)

Cell and atoms:
Lattice parameters (Å, degrees): 5.5078 8.0748 11.8168 90.00 92.45 90.00
Space group P2_1/c (No. 14)
Inequivalent atoms, fractional coordinates:
Na  0.1537  0.0338  0.3733
Zn  0.0000  0.0000  0.0000
S  0.3562  0.2175  0.6310
O  0.0134  0.1630  0.7858
O  0.0154  0.6938  0.6067
O  0.2175  0.0871  0.5705
O  0.2517  0.1145  0.1074
O  0.3401  0.1860  0.7606
O  0.3828  0.7128  0.8865